Li3TiRh3O8: simulated XRD peak list (Cu Kα X-rays), based on a structure optimized by DFT (PBE).
Peak positions follow from Bragg's law for the DFT cell and can differ from measured ones.

Cell and atoms:
a b c (Å): 6.052 6.052 6.052
angles (deg): 59.92 59.92 59.92
Sites, in units of the cell vectors:
Li: 0.000 0.500 0.500
Li: 0.500 0.000 0.500
Li: 0.500 0.500 0.000
Ti: 0.500 0.500 0.500
Rh: 0.000 0.000 0.500
Rh: 0.000 0.500 0.000
Rh: 0.500 0.000 0.000
O: 0.241 0.241 0.241
O: 0.258 0.733 0.733
O: 0.267 0.267 0.742
O: 0.267 0.742 0.267
O: 0.733 0.258 0.733
O: 0.733 0.733 0.258
O: 0.742 0.267 0.267
O: 0.759 0.759 0.759

Largest 10 diffraction maxima, low angle first, 2θ = 10–80°:
| two_theta | intensity |
| --- | --- |
| 17.9 | 100 |
| 34.8 | 49 |
| 36.4 | 29 |
| 42.3 | 56 |
| 46.3 | 19 |
| 55.8 | 18 |
| 61.3 | 33 |
| 64.5 | 17 |
| 73.4 | 11 |
| 77.3 | 8 |

***

Li2Tl3RhO6: simulated XRD peak list (Cu Kα X-rays), based on a structure optimized by DFT (PBE).
Peak positions follow from Bragg's law for the DFT cell and can differ from measured ones.

Cell and atoms:
a b c (Å): 5.834 5.834 6.050
angles (deg): 90.00 90.00 120.00
Sites, in units of the cell vectors:
Li: 0.333 0.667 0.219
Li: 0.667 0.333 0.781
Tl: 0.000 0.000 0.000
Tl: 0.333 0.667 0.679
Tl: 0.667 0.333 0.321
Rh: 0.000 0.000 0.500
O: 0.154 0.308 0.297
O: 0.154 0.846 0.297
O: 0.308 0.154 0.703
O: 0.692 0.846 0.297
O: 0.846 0.154 0.703
O: 0.846 0.692 0.703

Largest 10 diffraction maxima, low angle first, 2θ = 10–80°:
| two_theta | intensity |
| --- | --- |
| 22.9 | 93 |
| 30.6 | 100 |
| 34.6 | 75 |
| 38.6 | 43 |
| 46.9 | 43 |
| 50.1 | 24 |
| 54.5 | 20 |
| 55.4 | 18 |
| 57.0 | 39 |
| 74.6 | 17 |

***

Li3Ru2O8: simulated XRD peak list (Cu Kα X-rays), based on a structure optimized by DFT (PBE).
Peak positions follow from Bragg's law for the DFT cell and can differ from measured ones.

Cell and atoms:
a b c (Å): 6.693 6.693 8.534
angles (deg): 90.00 90.00 124.19
Sites, in units of the cell vectors:
Li: 0.000 0.000 0.000
Li: 0.124 0.376 0.250
Li: 0.376 0.124 0.750
Li: 0.500 0.500 0.500
Li: 0.624 0.876 0.250
Li: 0.876 0.624 0.750
Ru: 0.129 0.871 0.381
Ru: 0.371 0.629 0.881
Ru: 0.629 0.371 0.119
Ru: 0.871 0.129 0.619
O: 0.010 0.990 0.250
O: 0.112 0.349 0.500
O: 0.151 0.388 0.000
O: 0.243 0.757 0.774
O: 0.257 0.743 0.274
O: 0.349 0.112 0.500
O: 0.388 0.151 0.000
O: 0.490 0.510 0.750
O: 0.510 0.490 0.250
O: 0.612 0.849 0.000
O: 0.651 0.888 0.500
O: 0.743 0.257 0.726
O: 0.757 0.243 0.226
O: 0.849 0.612 0.000
O: 0.888 0.651 0.500
O: 0.990 0.010 0.750

Largest 10 diffraction maxima, low angle first, 2θ = 10–80°:
| two_theta | intensity |
| --- | --- |
| 18.2 | 82 |
| 19.1 | 95 |
| 26.4 | 100 |
| 28.5 | 33 |
| 28.7 | 49 |
| 30.2 | 31 |
| 34.1 | 76 |
| 35.0 | 27 |
| 35.5 | 22 |
| 61.2 | 35 |

***

Li11Ru8O24: simulated XRD peak list (Cu Kα X-rays), based on a structure optimized by DFT (PBE).
Peak positions follow from Bragg's law for the DFT cell and can differ from measured ones.

Cell and atoms:
a b c (Å): 5.154 8.832 9.853
angles (deg): 98.58 95.07 90.69
Sites, in units of the cell vectors:
Li: 0.000 0.000 0.000
Li: 0.008 0.325 0.008
Li: 0.200 0.909 0.504
Li: 0.228 0.250 0.512
Li: 0.299 0.582 0.511
Li: 0.461 0.170 0.999
Li: 0.496 0.495 0.013
Li: 0.513 0.824 0.008
Li: 0.726 0.425 0.510
Li: 0.759 0.057 0.509
Li: 0.978 0.681 0.023
Ru: 0.105 0.763 0.757
Ru: 0.120 0.476 0.762
Ru: 0.385 0.711 0.262
Ru: 0.393 0.058 0.260
Ru: 0.612 0.948 0.756
Ru: 0.619 0.292 0.759
Ru: 0.840 0.193 0.255
Ru: 0.876 0.535 0.262
O: 0.017 0.382 0.371
O: 0.073 0.071 0.371
O: 0.094 0.702 0.373
O: 0.155 0.173 0.141
O: 0.170 0.540 0.146
O: 0.231 0.859 0.149
O: 0.284 0.646 0.896
O: 0.310 0.948 0.868
O: 0.317 0.328 0.874
O: 0.401 0.779 0.649
O: 0.418 0.429 0.643
O: 0.470 0.099 0.639
O: 0.525 0.901 0.369
O: 0.571 0.221 0.394
O: 0.579 0.573 0.373
O: 0.660 0.029 0.122
O: 0.677 0.669 0.142
O: 0.708 0.353 0.140
O: 0.761 0.140 0.875
O: 0.817 0.818 0.877
O: 0.819 0.465 0.875
O: 0.917 0.912 0.650
O: 0.921 0.292 0.649
O: 0.951 0.593 0.626

Largest 10 diffraction maxima, low angle first, 2θ = 10–80°:
| two_theta | intensity |
| --- | --- |
| 18.3 | 100 |
| 19.8 | 30 |
| 21.0 | 40 |
| 23.6 | 31 |
| 27.1 | 23 |
| 35.4 | 16 |
| 37.1 | 18 |
| 42.9 | 24 |
| 43.1 | 24 |
| 43.5 | 22 |

***

Li8RuO6: simulated XRD peak list (Cu Kα X-rays), based on a structure optimized by DFT (PBE).
Peak positions follow from Bragg's law for the DFT cell and can differ from measured ones.

Cell and atoms:
a b c (Å): 5.656 5.656 10.812
angles (deg): 90.00 90.00 120.00
Sites, in units of the cell vectors:
Li: 0.000 0.319 0.000
Li: 0.000 0.383 0.365
Li: 0.000 0.617 0.865
Li: 0.000 0.681 0.500
Li: 0.319 0.000 0.000
Li: 0.319 0.319 0.500
Li: 0.333 0.667 0.141
Li: 0.333 0.667 0.641
Li: 0.383 0.000 0.365
Li: 0.383 0.383 0.865
Li: 0.617 0.000 0.865
Li: 0.617 0.617 0.365
Li: 0.667 0.333 0.141
Li: 0.667 0.333 0.641
Li: 0.681 0.000 0.500
Li: 0.681 0.681 0.000
Ru: 0.000 0.000 0.219
Ru: 0.000 0.000 0.719
O: 0.000 0.000 0.407
O: 0.000 0.000 0.907
O: 0.000 0.327 0.186
O: 0.000 0.673 0.686
O: 0.327 0.000 0.186
O: 0.327 0.327 0.686
O: 0.333 0.667 0.452
O: 0.333 0.667 0.952
O: 0.667 0.333 0.452
O: 0.667 0.333 0.952
O: 0.673 0.000 0.686
O: 0.673 0.673 0.186

Largest 10 diffraction maxima, low angle first, 2θ = 10–80°:
| two_theta | intensity |
| --- | --- |
| 16.4 | 32 |
| 18.1 | 86 |
| 24.5 | 100 |
| 31.6 | 35 |
| 33.1 | 21 |
| 38.0 | 24 |
| 40.4 | 25 |
| 46.5 | 20 |
| 52.2 | 24 |
| 56.4 | 21 |

***

LiRu2O5: simulated XRD peak list (Cu Kα X-rays), based on a structure optimized by DFT (PBE).
Peak positions follow from Bragg's law for the DFT cell and can differ from measured ones.

Cell and atoms:
a b c (Å): 8.003 8.837 5.799
angles (deg): 90.00 90.00 90.00
Sites, in units of the cell vectors:
Li: 0.247 0.244 0.000
Li: 0.253 0.744 0.500
Li: 0.747 0.256 0.500
Li: 0.753 0.756 0.000
Ru: 0.000 0.500 0.265
Ru: 0.000 0.500 0.735
Ru: 0.134 0.127 0.500
Ru: 0.366 0.627 0.000
Ru: 0.500 0.000 0.235
Ru: 0.500 0.000 0.765
Ru: 0.634 0.373 0.000
Ru: 0.866 0.873 0.500
O: 0.066 0.379 0.000
O: 0.093 0.349 0.500
O: 0.096 0.902 0.500
O: 0.221 0.607 0.251
O: 0.221 0.607 0.749
O: 0.279 0.107 0.249
O: 0.279 0.107 0.751
O: 0.404 0.402 0.000
O: 0.407 0.849 0.000
O: 0.434 0.879 0.500
O: 0.566 0.121 0.500
O: 0.593 0.151 0.000
O: 0.596 0.598 0.000
O: 0.721 0.893 0.249
O: 0.721 0.893 0.751
O: 0.779 0.393 0.251
O: 0.779 0.393 0.749
O: 0.904 0.098 0.500
O: 0.907 0.651 0.500
O: 0.934 0.621 0.000

Largest 10 diffraction maxima, low angle first, 2θ = 10–80°:
| two_theta | intensity |
| --- | --- |
| 14.9 | 90 |
| 18.3 | 74 |
| 18.9 | 91 |
| 20.1 | 51 |
| 23.0 | 49 |
| 32.4 | 47 |
| 34.4 | 100 |
| 35.1 | 52 |
| 37.1 | 40 |
| 56.3 | 44 |

***

Li2URuO8: simulated XRD peak list (Cu Kα X-rays), based on a structure optimized by DFT (PBE).
Peak positions follow from Bragg's law for the DFT cell and can differ from measured ones.

Cell and atoms:
a b c (Å): 4.736 4.736 6.410
angles (deg): 90.00 90.00 91.81
Sites, in units of the cell vectors:
Li: 0.000 0.000 0.239
Li: 0.000 0.000 0.761
U: 0.500 0.500 0.500
Ru: 0.500 0.500 0.000
O: 0.214 0.214 0.500
O: 0.226 0.226 0.000
O: 0.312 0.688 0.226
O: 0.312 0.688 0.774
O: 0.688 0.312 0.226
O: 0.688 0.312 0.774
O: 0.774 0.774 0.000
O: 0.786 0.786 0.500

Largest 10 diffraction maxima, low angle first, 2θ = 10–80°:
| two_theta | intensity |
| --- | --- |
| 18.7 | 100 |
| 26.2 | 26 |
| 27.1 | 22 |
| 27.8 | 18 |
| 33.8 | 39 |
| 38.6 | 27 |
| 43.3 | 15 |
| 47.8 | 15 |
| 51.3 | 19 |
| 52.2 | 15 |